1.
For LaNd2Sn2Pb5, a DFT-relaxed cell (GGA-PBE, OQMD) gives the calculated PXRD pattern in this record (CuKα).

Structural model:
Cell: 13.304 13.304 4.810 Å, 90.00 90.00 159.56°
Fractional coordinates of all 10 atoms:
La1 0.000 0.000 0.000
Nd1 0.190 0.810 0.000
Nd2 0.810 0.190 0.000
Sn1 0.290 0.710 0.500
Sn2 0.710 0.290 0.500
Pb1 0.099 0.901 0.500
Pb2 0.402 0.598 0.000
Pb3 0.500 0.500 0.500
Pb4 0.598 0.402 0.000
Pb5 0.901 0.099 0.500

Most intense lines, 10 to 90 degrees two-theta, by intensity:
31.58°, I = 1000; 34.24°, I = 183; 37.39°, I = 166; 38.13°, I = 161; 63.83°, I = 138; 59.65°, I = 133; 64.84°, I = 132; 51.60°, I = 117; 54.47°, I = 114; 65.93°, I = 113; 52.17°, I = 113; 89.18°, I = 60


2.
For LaNd2Si4Pt4, a DFT-relaxed cell (GGA-PBE, OQMD) gives the calculated PXRD pattern in this record (CuKα).

Structural model:
Cell: 12.557 12.557 12.557 Å, 160.49 160.43 27.77°
Fractional coordinates of all 11 atoms:
La1 0.000 0.000 0.000
Nd1 0.354 0.854 0.500
Nd2 0.646 0.146 0.500
Si1 0.196 0.696 0.500
Si2 0.450 0.450 0.000
Si3 0.550 0.550 0.000
Si4 0.804 0.304 0.500
Pt1 0.098 0.598 0.500
Pt2 0.247 0.247 0.000
Pt3 0.753 0.753 0.000
Pt4 0.902 0.402 0.500

Most intense lines, 10 to 90 degrees two-theta, by intensity:
33.18°, I = 1000; 42.34°, I = 158; 42.50°, I = 156; 27.83°, I = 129; 61.55°, I = 114; 46.16°, I = 105; 39.40°, I = 104; 71.84°, I = 103; 29.31°, I = 99; 71.62°, I = 96; 69.08°, I = 91; 54.90°, I = 84


3.
For LaNd2Sn3Pt3, a DFT-relaxed cell (GGA-PBE, OQMD) gives the calculated PXRD pattern in this record (CuKα).

Structural model:
Cell: 4.151 7.673 7.673 Å, 120.01 90.00 90.00°
Fractional coordinates of all 9 atoms:
La1 0.000 0.000 0.000
Nd1 0.000 0.175 0.587
Nd2 0.000 0.587 0.175
Sn1 0.500 0.337 0.337
Sn2 0.500 0.583 0.837
Sn3 0.500 0.837 0.583
Pt1 0.000 0.585 0.585
Pt2 0.500 0.252 0.918
Pt3 0.500 0.918 0.252

Most intense lines, 10 to 90 degrees two-theta, by intensity:
34.58°, I = 1000; 31.76°, I = 693; 42.05°, I = 416; 40.74°, I = 402; 35.75°, I = 331; 65.19°, I = 320; 43.61°, I = 274; 61.20°, I = 247; 23.18°, I = 171; 57.62°, I = 170; 80.87°, I = 119; 74.25°, I = 112


4.
For LaNd3Se3S4, a DFT-relaxed cell (GGA-PBE, OQMD) gives the calculated PXRD pattern in this record (CuKα).

Structural model:
Cell: 10.119 7.211 7.211 Å, 35.12 90.00 90.00°
Fractional coordinates of all 11 atoms:
La1 0.000 0.000 0.000
Nd1 0.238 0.280 0.280
Nd2 0.500 0.982 0.982
Nd3 0.762 0.280 0.280
Se1 0.000 0.662 0.662
Se2 0.379 0.630 0.630
Se3 0.621 0.630 0.630
S1 0.000 0.375 0.375
S2 0.247 0.906 0.906
S3 0.500 0.349 0.349
S4 0.753 0.906 0.906

Most intense lines, 10 to 90 degrees two-theta, by intensity:
28.28°, I = 1000; 21.81°, I = 713; 27.81°, I = 366; 42.81°, I = 347; 33.47°, I = 307; 41.51°, I = 242; 41.82°, I = 209; 47.37°, I = 186; 45.98°, I = 182; 35.48°, I = 158; 43.35°, I = 154; 62.45°, I = 122


5.
For La2Nd2Se3S4, a DFT-relaxed cell (GGA-PBE, OQMD) gives the calculated PXRD pattern in this record (CuKα).

Structural model:
Cell: 10.127 7.239 7.239 Å, 35.19 90.00 90.00°
Fractional coordinates of all 11 atoms:
La1 0.000 0.000 0.000
La2 0.500 0.016 0.016
Nd1 0.262 0.297 0.297
Nd2 0.738 0.297 0.297
Se1 0.122 0.650 0.650
Se2 0.500 0.677 0.677
Se3 0.878 0.650 0.650
S1 0.000 0.366 0.366
S2 0.254 0.922 0.922
S3 0.500 0.392 0.392
S4 0.746 0.922 0.922

Most intense lines, 10 to 90 degrees two-theta, by intensity:
28.15°, I = 1000; 21.77°, I = 705; 27.71°, I = 356; 42.65°, I = 349; 33.34°, I = 303; 41.26°, I = 242; 41.73°, I = 205; 47.13°, I = 185; 45.87°, I = 177; 67.32°, I = 159; 35.46°, I = 155; 43.20°, I = 153


6.
For LaNdSb2Se2, a DFT-relaxed cell (GGA-PBE, OQMD) gives the calculated PXRD pattern in this record (CuKα).

Structural model:
Cell: 4.252 4.252 9.199 Å, 90.00 90.00 90.00°
Fractional coordinates of all 6 atoms:
La1 0.000 0.000 0.000
Nd1 0.500 0.500 0.406
Sb1 0.000 0.500 0.699
Sb2 0.500 0.000 0.699
Se1 0.000 0.000 0.333
Se2 0.500 0.500 0.073

Most intense lines, 10 to 90 degrees two-theta, by intensity:
31.30°, I = 1000; 35.67°, I = 880; 29.12°, I = 547; 42.52°, I = 531; 52.36°, I = 419; 36.11°, I = 280; 23.04°, I = 265; 73.35°, I = 211; 70.81°, I = 185; 69.65°, I = 176; 61.70°, I = 174; 58.84°, I = 159


7.
For LaNdSb2Te2, a DFT-relaxed cell (GGA-PBE, OQMD) gives the calculated PXRD pattern in this record (CuKα).

Structural model:
Cell: 4.392 4.392 9.602 Å, 90.00 90.00 90.00°
Fractional coordinates of all 6 atoms:
La1 0.000 0.000 0.000
Nd1 0.500 0.500 0.552
Sb1 0.000 0.500 0.280
Sb2 0.500 0.000 0.280
Te1 0.000 0.000 0.649
Te2 0.500 0.500 0.902

Most intense lines, 10 to 90 degrees two-theta, by intensity:
30.24°, I = 1000; 34.39°, I = 871; 41.10°, I = 602; 34.68°, I = 571; 27.87°, I = 443; 50.39°, I = 341; 68.26°, I = 312; 54.84°, I = 306; 28.74°, I = 220; 70.59°, I = 211; 59.53°, I = 200; 27.52°, I = 148


8.
For LaNd3Se7, a DFT-relaxed cell (GGA-PBE, OQMD) gives the calculated PXRD pattern in this record (CuKα).

Structural model:
Cell: 10.686 7.304 7.304 Å, 34.91 90.00 90.00°
Fractional coordinates of all 11 atoms:
La1 0.000 0.000 0.000
Nd1 0.241 0.273 0.273
Nd2 0.500 0.989 0.989
Nd3 0.759 0.273 0.273
Se1 0.000 0.362 0.362
Se2 0.000 0.652 0.652
Se3 0.249 0.911 0.911
Se4 0.385 0.632 0.632
Se5 0.500 0.346 0.346
Se6 0.615 0.632 0.632
Se7 0.751 0.911 0.911

Most intense lines, 10 to 90 degrees two-theta, by intensity:
27.99°, I = 1000; 32.71°, I = 577; 20.95°, I = 495; 41.97°, I = 399; 41.20°, I = 281; 42.44°, I = 268; 33.54°, I = 255; 44.23°, I = 237; 40.05°, I = 233; 60.63°, I = 186; 36.01°, I = 176; 54.13°, I = 129


9.
For La2NdSe3, a DFT-relaxed cell (GGA-PBE, OQMD) gives the calculated PXRD pattern in this record (CuKα).

Structural model:
Cell: 4.282 4.282 10.476 Å, 90.00 90.00 120.00°
Fractional coordinates of all 6 atoms:
La1 0.333 0.667 0.170
La2 0.667 0.333 0.830
Nd1 0.000 0.000 0.500
Se1 0.000 0.000 0.000
Se2 0.333 0.667 0.662
Se3 0.667 0.333 0.338

Most intense lines, 10 to 90 degrees two-theta, by intensity:
29.51°, I = 1000; 42.23°, I = 748; 69.44°, I = 336; 52.36°, I = 264; 77.21°, I = 250; 25.49°, I = 140; 61.25°, I = 123; 49.97°, I = 72; 67.44°, I = 30; 82.87°, I = 21


10.
For LaNdZn6Si3, a DFT-relaxed cell (GGA-PBE, OQMD) gives the calculated PXRD pattern in this record (CuKα).

Structural model:
Cell: 7.580 7.580 4.093 Å, 90.00 90.00 120.00°
Fractional coordinates of all 11 atoms:
La1 0.000 0.000 0.000
Nd1 0.667 0.333 0.000
Zn1 0.037 0.667 0.500
Zn2 0.139 0.479 0.000
Zn3 0.333 0.370 0.500
Zn4 0.340 0.861 0.000
Zn5 0.521 0.660 0.000
Zn6 0.630 0.963 0.500
Si1 0.335 0.042 0.500
Si2 0.707 0.665 0.500
Si3 0.958 0.293 0.500

Most intense lines, 10 to 90 degrees two-theta, by intensity:
32.19°, I = 1000; 42.61°, I = 448; 41.26°, I = 265; 36.20°, I = 231; 69.52°, I = 227; 44.26°, I = 201; 62.10°, I = 155; 27.17°, I = 136; 58.46°, I = 112; 53.27°, I = 109; 23.47°, I = 97; 35.04°, I = 89


11.
For LaNd2Sn7, a DFT-relaxed cell (GGA-PBE, OQMD) gives the calculated PXRD pattern in this record (CuKα).

Structural model:
Cell: 13.155 13.155 4.680 Å, 90.00 90.00 159.83°
Fractional coordinates of all 10 atoms:
La1 0.000 0.000 0.000
Nd1 0.185 0.815 0.000
Nd2 0.815 0.185 0.000
Sn1 0.096 0.904 0.500
Sn2 0.290 0.710 0.500
Sn3 0.404 0.596 0.000
Sn4 0.500 0.500 0.500
Sn5 0.596 0.404 0.000
Sn6 0.710 0.290 0.500
Sn7 0.904 0.096 0.500

Most intense lines, 10 to 90 degrees two-theta, by intensity:
32.28°, I = 1000; 38.47°, I = 168; 34.63°, I = 166; 39.10°, I = 161; 65.71°, I = 134; 66.57°, I = 130; 53.21°, I = 115; 56.01°, I = 115; 60.57°, I = 103; 52.71°, I = 102; 67.55°, I = 99; 86.73°, I = 37


12.
For LaNdSn2, a DFT-relaxed cell (GGA-PBE, OQMD) gives the calculated PXRD pattern in this record (CuKα).

Structural model:
Cell: 13.559 13.559 4.520 Å, 90.00 90.00 160.86°
Fractional coordinates of all 8 atoms:
La1 0.160 0.840 0.750
La2 0.840 0.160 0.250
Nd1 0.442 0.558 0.750
Nd2 0.558 0.442 0.250
Sn1 0.040 0.960 0.750
Sn2 0.249 0.751 0.250
Sn3 0.751 0.249 0.750
Sn4 0.960 0.040 0.250

Most intense lines, 10 to 90 degrees two-theta, by intensity:
29.73°, I = 1000; 36.69°, I = 809; 53.02°, I = 327; 33.51°, I = 311; 66.23°, I = 259; 39.89°, I = 256; 39.99°, I = 254; 70.46°, I = 198; 13.24°, I = 176; 57.76°, I = 175; 53.14°, I = 170; 68.46°, I = 161